Entry 1:
Diffraction record for BN. The X-ray diffraction stick pattern is calculated, not measured: it uses DFT lattice parameters and positions (PBE) and Cu Ka.
Intensities are scaled so that the largest is 100.

Structural model:
```
BN
1.0
3.6260 0.0000 0.0000
0.0000 3.6260 0.0000
0.0000 0.0000 3.6260
B N
4 4
Cartesian
0.0000 0.0000 0.0000
0.0000 1.8130 1.8130
1.8130 0.0000 1.8130
1.8130 1.8130 0.0000
0.9065 0.9065 2.7195
0.9065 2.7195 0.9065
2.7195 0.9065 0.9065
2.7195 2.7195 2.7195
```

Largest 4 diffraction maxima, by intensity, 2θ from 10° to 90°:
two_theta	d [Å]	intensity
43.22	2.093	100
73.93	1.282	37
89.68	1.093	23
50.33	1.813	5

Entry 2:
Diffraction record for BN. The X-ray diffraction stick pattern is calculated, not measured: it uses DFT lattice parameters and positions (PBE) and Cu Ka.
Intensities are scaled so that the largest is 100.

Structural model:
```
BN
1.0
2.5080 0.0000 0.0000
-1.2467 2.1762 0.0000
-0.6307 -1.0881 3.0225
B N
1 1
Cartesian
0.0000 0.0000 0.0000
0.6727 -0.3106 2.9717
```

Largest 10 diffraction maxima, by intensity, 2θ from 10° to 90°:
two_theta	d [Å]	intensity
29.55	3.023	100
44.23	2.048	29
77.78	1.228	12
41.62	2.170	8
62.85	1.479	7
51.87	1.763	7
61.34	1.511	7
83.20	1.161	5
75.61	1.258	3
76.87	1.240	2

Entry 3:
Diffraction record for B13N2. The X-ray diffraction stick pattern is calculated, not measured: it uses DFT lattice parameters and positions (PBE) and Cu Ka.
Intensities are scaled so that the largest is 100.

Structural model:
```
B13N2
1.0
2.7457 1.5852 4.1371
-2.7457 1.5852 4.1371
0.0000 -3.1704 4.1371
B N
13 2
Cartesian
0.0000 0.0000 0.0000
-0.8959 -0.5173 4.7988
-1.4182 -0.8188 6.5110
0.0000 -1.6376 5.9003
-1.4182 0.8188 5.9003
0.8959 -0.5173 4.7988
0.0000 1.0345 4.7988
0.0000 -1.0345 7.6125
-0.8959 0.5173 7.6125
1.4182 -0.8188 6.5110
0.0000 1.6376 6.5110
1.4182 0.8188 5.9003
0.8959 0.5173 7.6125
0.0000 0.0000 1.4291
0.0000 0.0000 10.9822
```

Largest 10 diffraction maxima, by intensity, 2θ from 10° to 90°:
two_theta	d [Å]	intensity
38.55	2.335	100
34.51	2.599	73
23.57	3.775	54
21.48	4.137	29
63.95	1.456	21
63.03	1.475	19
68.33	1.373	17
32.61	2.746	16
72.55	1.303	11
72.00	1.312	11

Entry 4:
Diffraction record for BN. The X-ray diffraction stick pattern is calculated, not measured: it uses DFT lattice parameters and positions (PBE) and Cu Ka.
Intensities are scaled so that the largest is 100.

Structural model:
```
BN
1.0
2.5124 0.0000 0.0000
-1.2562 2.1758 0.0000
0.0000 0.0000 7.7073
B N
2 2
Cartesian
0.0000 1.4506 1.9268
1.2562 0.7253 5.7804
0.0000 1.4506 5.7804
1.2562 0.7253 1.9268
```

Largest 10 diffraction maxima, by intensity, 2θ from 10° to 90°:
two_theta	d [Å]	intensity
23.08	3.854	100
48.02	1.895	12
41.50	2.176	10
47.17	1.927	8
80.40	1.194	7
75.71	1.256	4
64.61	1.443	4
43.20	2.094	4
73.76	1.285	2
88.36	1.106	1